No. 1
Structure and computed PXRD pattern of BaHg2Te2F2 (a DFT-relaxed cell (PBE, OQMD); λ = 1.5418 Å (Cu Kα)).
Lines closer than 0.1° are merged.

Principal peaks in the range 10 to 90 degrees two-theta, low angle first:
2θ (°)	intensity
27.55	100
30.28	53
33.88	68
35.07	81
43.36	59
49.48	51

Cell and atoms:
```
data_BaHg2Te2F2
_cell_length_a 4.174
_cell_length_b 4.174
_cell_length_c 10.264
_cell_angle_alpha 90.00
_cell_angle_beta 90.00
_cell_angle_gamma 90.00
_space_group_name_H-M_alt 'P 1'
_space_group_IT_number 1
_space_group_name_Hall 'P 1'
loop_
_atom_site_label
_atom_site_type_symbol
_atom_site_fract_x
_atom_site_fract_y
_atom_site_fract_z
Ba1 Ba 0.000 0.000 0.000
Hg1 Hg 0.000 0.500 0.643
Hg2 Hg 0.500 0.000 0.357
Te1 Te 0.000 0.500 0.250
Te2 Te 0.500 0.000 0.750
F1 F 0.000 0.000 0.500
F2 F 0.500 0.500 0.500
```

No. 2
Structure and computed PXRD pattern of BaLiZr2F11 (a DFT-relaxed cell (PBE, OQMD); λ = 1.5418 Å (Cu Kα)).
Lines closer than 0.1° are merged.

Principal peaks in the range 10 to 90 degrees two-theta, low angle first:
2θ (°)	intensity
22.60	43
26.17	100
27.61	79
39.19	41
47.95	39
48.79	35

Cell and atoms:
```
data_BaLiZr2F11
_cell_length_a 7.873
_cell_length_b 7.873
_cell_length_c 7.873
_cell_angle_alpha 118.82
_cell_angle_beta 118.82
_cell_angle_gamma 92.06
_space_group_name_H-M_alt 'P 1'
_space_group_IT_number 1
_space_group_name_Hall 'P 1'
loop_
_atom_site_label
_atom_site_type_symbol
_atom_site_fract_x
_atom_site_fract_y
_atom_site_fract_z
Ba1 Ba 0.197 0.197 0.000
Ba2 Ba 0.803 0.803 0.000
Li1 Li 0.250 0.750 0.500
Li2 Li 0.750 0.250 0.500
Zr1 Zr 0.214 0.646 0.860
Zr2 Zr 0.354 0.214 0.567
Zr3 Zr 0.646 0.786 0.433
Zr4 Zr 0.786 0.354 0.140
F1 F 0.000 0.500 0.500
F2 F 0.061 0.490 0.209
F3 F 0.102 0.196 0.298
F4 F 0.148 0.939 0.428
F5 F 0.182 0.322 0.721
F6 F 0.196 0.898 0.094
F7 F 0.280 0.852 0.791
F8 F 0.322 0.601 0.140
F9 F 0.399 0.538 0.721
F10 F 0.462 0.182 0.860
F11 F 0.490 0.280 0.428
F12 F 0.500 0.000 0.500
F13 F 0.510 0.720 0.572
F14 F 0.538 0.818 0.140
F15 F 0.601 0.462 0.279
F16 F 0.678 0.399 0.860
F17 F 0.720 0.148 0.209
F18 F 0.804 0.102 0.906
F19 F 0.818 0.678 0.279
F20 F 0.852 0.061 0.572
F21 F 0.898 0.804 0.702
F22 F 0.939 0.510 0.791
```

No. 3
Structure and computed PXRD pattern of BaNaZrF7 (a DFT-relaxed cell (PBE, OQMD); λ = 1.5418 Å (Cu Kα)).
Lines closer than 0.1° are merged.

Principal peaks in the range 10 to 90 degrees two-theta, low angle first:
2θ (°)	intensity
25.24	49
26.62	25
27.26	100
31.34	34
42.75	40
48.48	31

Cell and atoms:
```
data_BaNaZrF7
_cell_length_a 8.827
_cell_length_b 5.457
_cell_length_c 10.860
_cell_angle_alpha 90.00
_cell_angle_beta 90.00
_cell_angle_gamma 90.00
_space_group_name_H-M_alt 'P 1'
_space_group_IT_number 1
_space_group_name_Hall 'P 1'
loop_
_atom_site_label
_atom_site_type_symbol
_atom_site_fract_x
_atom_site_fract_y
_atom_site_fract_z
Ba1 Ba 0.025 0.250 0.172
Ba2 Ba 0.475 0.750 0.672
Ba3 Ba 0.525 0.250 0.328
Ba4 Ba 0.975 0.750 0.828
Na1 Na 0.138 0.250 0.554
Na2 Na 0.362 0.750 0.054
Na3 Na 0.638 0.250 0.946
Na4 Na 0.862 0.750 0.446
Zr1 Zr 0.246 0.750 0.358
Zr2 Zr 0.254 0.250 0.858
Zr3 Zr 0.746 0.750 0.142
Zr4 Zr 0.754 0.250 0.642
F1 F 0.012 0.250 0.827
F2 F 0.069 0.510 0.389
F3 F 0.069 0.990 0.389
F4 F 0.168 0.004 0.985
F5 F 0.168 0.496 0.985
F6 F 0.220 0.502 0.719
F7 F 0.220 0.998 0.719
F8 F 0.280 0.002 0.219
F9 F 0.280 0.498 0.219
F10 F 0.332 0.504 0.485
F11 F 0.332 0.996 0.485
F12 F 0.431 0.010 0.889
F13 F 0.431 0.490 0.889
F14 F 0.488 0.750 0.327
F15 F 0.512 0.250 0.673
F16 F 0.569 0.510 0.111
F17 F 0.569 0.990 0.111
F18 F 0.668 0.004 0.515
F19 F 0.668 0.496 0.515
F20 F 0.720 0.502 0.781
F21 F 0.720 0.998 0.781
F22 F 0.780 0.002 0.281
F23 F 0.780 0.498 0.281
F24 F 0.832 0.504 0.015
F25 F 0.832 0.996 0.015
F26 F 0.931 0.010 0.611
F27 F 0.931 0.490 0.611
F28 F 0.988 0.750 0.173
```